# 1
For CeSm2Ag, a structure optimized by DFT (GGA-PBE) gives the computed PXRD pattern in this record (Cu Ka).

Cell and atoms:
a = 5.5580 Å, b = 5.5580 Å, c = 3.5292 Å
α = 90.00°, β = 90.00°, γ = 90.00°
Fractional positions:
1 Ce 0.0000 0.0000 0.0000
2 Sm 0.0000 0.5000 0.5000
3 Sm 0.5000 0.0000 0.5000
4 Ag 0.5000 0.5000 0.0000

Main lines, low angle first (5 to 70 degrees two-theta):
32.2°, intensity 58
34.1°, intensity 100
46.2°, intensity 21
51.8°, intensity 8
58.7°, intensity 41
62.3°, intensity 17

# 2
For CeSm3Ag4, a structure optimized by DFT (GGA-PBE) gives the computed PXRD pattern in this record (Cu Ka).

Cell and atoms:
a = 3.6806 Å, b = 3.6806 Å, c = 15.1515 Å
α = 90.00°, β = 90.00°, γ = 90.00°
Fractional positions:
1 Ce 0.0000 0.0000 0.0000
2 Sm 0.0000 0.0000 0.2517
3 Sm 0.0000 0.0000 0.5000
4 Sm 0.0000 0.0000 0.7483
5 Ag 0.5000 0.5000 0.1313
6 Ag 0.5000 0.5000 0.3757
7 Ag 0.5000 0.5000 0.6243
8 Ag 0.5000 0.5000 0.8687

Main lines, low angle first (5 to 70 degrees two-theta):
34.0°, intensity 100
34.5°, intensity 48
48.0°, intensity 9
49.5°, intensity 17
60.5°, intensity 18
61.4°, intensity 35

# 3
For Ce2Ag2Sn3, a structure optimized by DFT (GGA-PBE) gives the computed PXRD pattern in this record (Cu Ka).

Cell and atoms:
a = 10.4466 Å, b = 10.4466 Å, c = 7.4532 Å
α = 90.00°, β = 90.00°, γ = 153.70°
Fractional positions:
1 Ce 0.0455 0.9545 0.7500
2 Ce 0.1565 0.8435 0.2500
3 Ce 0.8435 0.1565 0.7500
4 Ce 0.9545 0.0455 0.2500
5 Ag 0.3027 0.6973 0.0505
6 Ag 0.3027 0.6973 0.4495
7 Ag 0.6973 0.3027 0.5505
8 Ag 0.6973 0.3027 0.9495
9 Sn 0.2150 0.7850 0.7500
10 Sn 0.4330 0.5670 0.5556
11 Sn 0.4330 0.5670 0.9444
12 Sn 0.5670 0.4330 0.0556
13 Sn 0.5670 0.4330 0.4444
14 Sn 0.7850 0.2150 0.2500

Main lines, low angle first (5 to 70 degrees two-theta):
28.9°, intensity 29
30.8°, intensity 100
31.3°, intensity 73
37.8°, intensity 65
40.4°, intensity 30
43.9°, intensity 26

# 4
For Ce3AgSn3, a structure optimized by DFT (GGA-PBE) gives the computed PXRD pattern in this record (Cu Ka).

Cell and atoms:
a = 6.2631 Å, b = 6.2631 Å, c = 15.1719 Å
α = 107.60°, β = 107.60°, γ = 44.21°
Fractional positions:
1 Ce 0.0340 0.0340 0.3835
2 Ce 0.0956 0.0956 0.9206
3 Ce 0.2380 0.2380 0.2249
4 Ce 0.7620 0.7620 0.7751
5 Ce 0.9044 0.9044 0.0794
6 Ce 0.9660 0.9660 0.6165
7 Ag 0.2634 0.2634 0.6079
8 Ag 0.7366 0.7366 0.3921
9 Sn 0.3660 0.3660 0.4511
10 Sn 0.3726 0.3726 0.9264
11 Sn 0.4769 0.4769 0.7673
12 Sn 0.5231 0.5231 0.2327
13 Sn 0.6274 0.6274 0.0736
14 Sn 0.6340 0.6340 0.5489

Main lines, low angle first (5 to 70 degrees two-theta):
29.6°, intensity 57
30.2°, intensity 100
30.9°, intensity 55
34.5°, intensity 46
36.4°, intensity 98
38.2°, intensity 63

# 5
For Ce2TmAg2Sn2, a structure optimized by DFT (GGA-PBE) gives the computed PXRD pattern in this record (Cu Ka).

Cell and atoms:
a = 9.3230 Å, b = 9.3230 Å, c = 9.3230 Å
α = 29.28°, β = 29.28°, γ = 29.28°
Fractional positions:
1 Ce 0.1427 0.1427 0.1427
2 Ce 0.8573 0.8573 0.8573
3 Tm 0.0000 0.0000 0.0000
4 Ag 0.4166 0.4166 0.4166
5 Ag 0.5834 0.5834 0.5834
6 Sn 0.2701 0.2701 0.2701
7 Sn 0.7299 0.7299 0.7299

Main lines, low angle first (5 to 70 degrees two-theta):
32.1°, intensity 100
34.7°, intensity 15
38.2°, intensity 76
50.7°, intensity 28
65.2°, intensity 26
69.0°, intensity 13

# 6
For Tb4CeAg5, a structure optimized by DFT (GGA-PBE) gives the computed PXRD pattern in this record (Cu Ka).

Cell and atoms:
a = 3.6242 Å, b = 3.6242 Å, c = 18.7688 Å
α = 90.00°, β = 90.00°, γ = 90.00°
Fractional positions:
1 Tb 0.0000 0.0000 0.0988
2 Tb 0.0000 0.0000 0.2961
3 Tb 0.0000 0.0000 0.7039
4 Tb 0.0000 0.0000 0.9012
5 Ce 0.0000 0.0000 0.5000
6 Ag 0.5000 0.5000 0.0000
7 Ag 0.5000 0.5000 0.1974
8 Ag 0.5000 0.5000 0.3908
9 Ag 0.5000 0.5000 0.6092
10 Ag 0.5000 0.5000 0.8026

Main lines, low angle first (5 to 70 degrees two-theta):
34.4°, intensity 100
35.0°, intensity 49
48.5°, intensity 9
50.4°, intensity 17
61.2°, intensity 17
62.4°, intensity 35

# 7
For Ce6Tc2Ag, a structure optimized by DFT (GGA-PBE) gives the computed PXRD pattern in this record (Cu Ka).

Cell and atoms:
a = 5.6461 Å, b = 5.6461 Å, c = 8.6805 Å
α = 97.29°, β = 97.29°, γ = 52.98°
Fractional positions:
1 Ce 0.0462 0.0462 0.3595
2 Ce 0.3087 0.3087 0.8904
3 Ce 0.3881 0.3881 0.3258
4 Ce 0.6119 0.6119 0.6742
5 Ce 0.6913 0.6913 0.1096
6 Ce 0.9538 0.9538 0.6405
7 Tc 0.2738 0.2738 0.6178
8 Tc 0.7262 0.7262 0.3822
9 Ag 0.0000 0.0000 0.0000

Main lines, low angle first (5 to 70 degrees two-theta):
29.7°, intensity 41
31.2°, intensity 35
32.2°, intensity 100
32.7°, intensity 66
35.1°, intensity 36
35.7°, intensity 84

# 8
For Ce2AgTe4, a structure optimized by DFT (GGA-PBE) gives the computed PXRD pattern in this record (Cu Ka).

Cell and atoms:
a = 7.8517 Å, b = 12.2181 Å, c = 4.6775 Å
α = 90.00°, β = 90.00°, γ = 90.00°
Fractional positions:
1 Ce 0.1118 0.1797 0.0000
2 Ce 0.3882 0.6797 0.0000
3 Ce 0.6118 0.3203 0.0000
4 Ce 0.8882 0.8203 0.0000
5 Ag 0.0000 0.5000 0.5000
6 Ag 0.5000 0.0000 0.5000
7 Te 0.1141 0.7153 0.5000
8 Te 0.2445 0.9401 0.0000
9 Te 0.2555 0.4401 0.0000
10 Te 0.3859 0.2153 0.5000
11 Te 0.6141 0.7847 0.5000
12 Te 0.7445 0.5599 0.0000
13 Te 0.7555 0.0599 0.0000
14 Te 0.8859 0.2847 0.5000

Main lines, low angle first (5 to 70 degrees two-theta):
23.3°, intensity 55
30.6°, intensity 100
31.4°, intensity 60
38.5°, intensity 47
43.3°, intensity 33
50.5°, intensity 37